[1]
# Li5WN3
Theoretical powder diffractogram, Cu Kα, 1.54184 Å. Input: a cell relaxed with PBE.
Peak positions follow from Bragg's law for the DFT cell and can differ from measured ones.

Structural model:
abc: 10.7079 5.3828 7.2459
angles: 90.00 109.66 90.00
Space group C2/c (No. 15)
Unique sites:
Li (0.0000, 0.1451, 0.2500) (multiplicity 4)
Li (0.1802, 0.1308, 0.0839) (multiplicity 8)
Li (0.1898, 0.3880, 0.5960) (multiplicity 8)
W (0.0000, 0.3422, 0.7500) (multiplicity 4)
N (0.0000, 0.5000, 0.0000) (multiplicity 4)
N (0.1499, 0.1279, 0.7852) (multiplicity 8)

Main lines, in order of rising 2θ (5° ≤ 2θ ≤ 70°):
(2 0 0), 5.042 Å, 17.59°, intensity 87; (1 1 0), 4.749 Å, 18.69°, intensity 47; (1 1 -1), 4.224 Å, 21.03°, intensity 100; (1 1 1), 3.637 Å, 24.48°, intensity 61; (0 0 2), 3.410 Å, 26.13°, intensity 70; (3 1 -1), 2.947 Å, 30.33°, intensity 25; (0 2 1), 2.504 Å, 35.87°, intensity 23; (2 0 2), 2.464 Å, 36.46°, intensity 26

***

[2]
# NaMgMnBr5
Theoretical powder diffractogram, Cu Kα, 1.54184 Å. Input: a cell relaxed with PBE.
Peak positions follow from Bragg's law for the DFT cell and can differ from measured ones.

Structural model:
abc: 8.9530 12.0170 9.9245
angles: 90.00 113.30 90.00
Space group C2/c (No. 15)
Unique sites:
Na (0.0000, 0.1597, 0.2500) (multiplicity 4)
Mg (0.0000, 0.5000, 0.0000) (multiplicity 4)
Mn (0.0000, 0.1850, 0.7500) (multiplicity 4)
Br (0.0000, 0.4137, 0.2500) (multiplicity 4)
Br (0.1321, 0.3024, 0.6211) (multiplicity 8)
Br (0.1833, 0.0571, 0.9436) (multiplicity 8)

Main lines, in order of rising 2θ (5° ≤ 2θ ≤ 70°):
(2 2 -1), 3.586 Å, 24.83°, intensity 76; (1 1 2), 3.316 Å, 26.89°, intensity 43; (2 2 -2), 3.283 Å, 27.16°, intensity 57; (1 1 -3), 3.188 Å, 27.98°, intensity 51; (1 3 1), 3.167 Å, 28.18°, intensity 100; (3 1 -1), 2.883 Å, 31.02°, intensity 40; (3 3 0), 2.262 Å, 39.84°, intensity 40; (4 0 -4), 1.960 Å, 46.33°, intensity 36

***

[3]
# RbBC2
Theoretical powder diffractogram, Cu Kα, 1.54184 Å. Input: a cell relaxed with PBE.
Peak positions follow from Bragg's law for the DFT cell and can differ from measured ones.

Structural model:
abc: 5.3032 5.3032 7.5723
angles: 90.00 90.00 90.00
Space group I4_1/amd (No. 141, origin choice 2)
Unique sites:
Rb (0.0000, 0.2500, 0.3750) (multiplicity 4)
B (0.0000, 0.2500, 0.8750) (multiplicity 4)
C (0.0000, 0.0000, 0.0000) (multiplicity 8)

Main lines, in order of rising 2θ (5° ≤ 2θ ≤ 70°):
(1 0 1), 4.344 Å, 20.45°, intensity 68; (1 1 2), 2.664 Å, 33.64°, intensity 100; (2 0 0), 2.652 Å, 33.80°, intensity 49; (1 0 3), 2.279 Å, 39.54°, intensity 31; (2 1 1), 2.263 Å, 39.83°, intensity 60; (2 0 4), 1.541 Å, 60.05°, intensity 18; (3 1 2), 1.533 Å, 60.37°, intensity 35; (3 2 1), 1.444 Å, 64.54°, intensity 14

***

[4]
# LiNd6Ga5
Theoretical powder diffractogram, Cu Kα, 1.54184 Å. Input: a cell relaxed with PBE.
Peak positions follow from Bragg's law for the DFT cell and can differ from measured ones.

Structural model:
abc: 5.2531 15.8109 7.3725
angles: 90.00 90.00 90.00
Space group Cmmm (No. 65)
Unique sites:
Li (0.0000, 0.0000, 0.0000) (multiplicity 2)
Nd (0.0000, 0.1700, 0.2500) (multiplicity 8)
Nd (0.0000, 0.5000, 0.2575) (multiplicity 4)
Ga (0.0000, 0.0000, 0.5000) (multiplicity 2)
Ga (0.0000, 0.3345, 0.5000) (multiplicity 4)
Ga (0.0000, 0.3441, 0.0000) (multiplicity 4)

Main lines, in order of rising 2θ (5° ≤ 2θ ≤ 70°):
(1 3 0), 3.721 Å, 23.92°, intensity 20; (0 6 0), 2.635 Å, 34.02°, intensity 25; (2 0 0), 2.627 Å, 34.14°, intensity 25; (1 3 2), 2.619 Å, 34.24°, intensity 100; (2 6 0), 1.860 Å, 48.96°, intensity 18; (1 9 2), 1.518 Å, 61.03°, intensity 18; (3 3 2), 1.515 Å, 61.18°, intensity 18; (2 0 4), 1.510 Å, 61.42°, intensity 18

***

[5]
# Tm2GaAg2
Theoretical powder diffractogram, Cu Kα, 1.54184 Å. Input: a cell relaxed with PBE.
Peak positions follow from Bragg's law for the DFT cell and can differ from measured ones.

Structural model:
abc: 4.4276 14.3814 3.4209
angles: 90.00 90.00 90.00
Space group Cmmm (No. 65)
Unique sites:
Tm (0.0000, 0.1138, 0.0000) (multiplicity 4)
Ga (0.0000, 0.5000, 0.5000) (multiplicity 2)
Ag (0.0000, 0.3064, 0.5000) (multiplicity 4)

Main lines, in order of rising 2θ (5° ≤ 2θ ≤ 70°):
(1 1 1), 2.660 Å, 33.69°, intensity 100; (0 4 1), 2.478 Å, 36.25°, intensity 46; (1 5 0), 2.412 Å, 37.28°, intensity 83; (1 3 1), 2.357 Å, 38.18°, intensity 40; (2 0 0), 2.214 Å, 40.76°, intensity 36; (0 0 2), 1.710 Å, 53.58°, intensity 16; (2 4 1), 1.651 Å, 55.67°, intensity 27; (1 5 2), 1.395 Å, 67.08°, intensity 30

***

[6]
# Cs2GeO3
Theoretical powder diffractogram, Cu Kα, 1.54184 Å. Input: a cell relaxed with PBE.
Peak positions follow from Bragg's law for the DFT cell and can differ from measured ones.

Structural model:
abc: 5.8218 13.2610 14.5313
angles: 90.00 90.00 90.00
Space group Cmce (No. 64)
Unique sites:
Cs (0.0000, 0.0392, 0.1479) (multiplicity 8)
Cs (0.0000, 0.1451, 0.5589) (multiplicity 8)
Ge (0.0000, 0.2404, 0.3194) (multiplicity 8)
O (0.0000, 0.1109, 0.3410) (multiplicity 8)
O (0.0000, 0.1804, 0.9158) (multiplicity 8)
O (0.2500, 0.2189, 0.7500) (multiplicity 8)

Main lines, in order of rising 2θ (5° ≤ 2θ ≤ 70°):
(1 1 3), 3.585 Å, 24.84°, intensity 77; (1 3 1), 3.422 Å, 26.04°, intensity 100; (1 3 2), 3.168 Å, 28.17°, intensity 83; (0 4 2), 3.016 Å, 29.62°, intensity 33; (1 1 4), 3.002 Å, 29.76°, intensity 62; (2 0 0), 2.911 Å, 30.71°, intensity 75; (0 2 5), 2.662 Å, 33.67°, intensity 44; (1 7 2), 1.748 Å, 52.34°, intensity 33

***

[7]
# NbGaTe2Os
Theoretical powder diffractogram, Cu Kα, 1.54184 Å. Input: a cell relaxed with PBE.
Peak positions follow from Bragg's law for the DFT cell and can differ from measured ones.

Structural model:
abc: 5.2996 5.2996 4.6365
angles: 90.00 90.00 90.00
Space group P4/mmm (No. 123)
Unique sites:
Nb (0.0000, 0.0000, 0.0000) (multiplicity 1)
Ga (0.5000, 0.5000, 0.0000) (multiplicity 1)
Te (0.0000, 0.5000, 0.5000) (multiplicity 2)
Os (0.5000, 0.5000, 0.5000) (multiplicity 1)

Main lines, in order of rising 2θ (5° ≤ 2θ ≤ 70°):
(1 0 0), 5.300 Å, 16.73°, intensity 40; (0 0 1), 4.636 Å, 19.14°, intensity 39; (1 0 1), 3.490 Å, 25.53°, intensity 49; (1 1 1), 2.914 Å, 30.68°, intensity 38; (2 0 0), 2.650 Å, 33.83°, intensity 100; (0 0 2), 2.318 Å, 38.85°, intensity 34; (2 2 0), 1.874 Å, 48.59°, intensity 36; (2 0 2), 1.745 Å, 52.44°, intensity 57

***

[8]
# Ba2Zn17
Theoretical powder diffractogram, Cu Kα, 1.54184 Å. Input: a cell relaxed with PBE.
Peak positions follow from Bragg's law for the DFT cell and can differ from measured ones.

Structural model:
abc: 9.3816 9.3816 13.6216
angles: 90.00 90.00 120.00
Space group R-3m (No. 166, hexagonal axes)
Unique sites:
Ba (0.0000, 0.0000, 0.1586) (multiplicity 6)
Zn (0.0000, 0.0000, 0.4024) (multiplicity 6)
Zn (0.0000, 0.2839, 0.5000) (multiplicity 18)
Zn (0.0000, 0.5000, 0.0000) (multiplicity 9)
Zn (0.0027, 0.5013, 0.3430) (multiplicity 18)

Main lines, in order of rising 2θ (5° ≤ 2θ ≤ 70°):
(1 1 3), 3.262 Å, 27.34°, intensity 27; (3 0 0), 2.708 Å, 33.08°, intensity 35; (0 2 4), 2.610 Å, 34.36°, intensity 29; (2 2 0), 2.345 Å, 38.38°, intensity 71; (3 0 3), 2.326 Å, 38.71°, intensity 100; (0 0 6), 2.270 Å, 39.70°, intensity 38; (2 2 3), 2.084 Å, 43.43°, intensity 43; (2 2 6), 1.631 Å, 56.41°, intensity 19